# Mg2CoH5
Computed powder diffraction line list, CuKα. Input: DFT lattice parameters and positions (GGA-PBE).
Peak positions follow from Bragg's law for the DFT cell and can differ from measured ones.

Peak list (6 most intense, 10 to 90 degrees two-theta, by angle)
| d_spacing | 2theta | intensity |
| --- | --- | --- |
| 3.663 | 24.3 | 1000 |
| 2.260 | 39.9 | 839 |
| 2.211 | 40.8 | 377 |
| 1.955 | 46.4 | 160 |
| 1.893 | 48.1 | 289 |
| 1.286 | 73.7 | 245 |

Cell: 4.4215 4.4215 6.5404 Å, 90.00 90.00 90.00°
Space group P4/nmm (No. 129, origin choice 2)
Unique sites:
Mg: 0.2500 0.7500 0.0000 (multiplicity 2)
Mg: 0.2500 0.7500 0.5000 (multiplicity 2)
Co: 0.2500 0.2500 0.2430 (multiplicity 2)
H: 0.0064 0.0064 0.2713 (multiplicity 8)
H: 0.2500 0.2500 0.0033 (multiplicity 2)